Record 1
Simulated powder XRD pattern of Ba3IrO7 for Cu Kα (weighted mean of Kα1 and Kα2), from a structure optimized by DFT (PBE).

Peak list (8 most intense, 10° ≤ 2θ ≤ 90°, in order of rising 2θ)
two_theta	intensity
27.30	100
29.55	19
31.32	27
31.77	35
40.48	19
45.22	26
48.44	15
53.33	16

Cell and atoms:
```
22
Lattice="7.965 0.000 0.000 0.000 7.965 0.000 0.000 0.000 5.713" Properties=species:S:1:pos:R:3 pbc="T T T"
Ba 0.000 0.000 0.000
Ba 1.461 2.521 2.856
Ba 2.521 6.504 2.856
Ba 3.983 3.983 0.000
Ba 5.444 1.461 2.856
Ba 6.504 5.444 2.856
Ir 0.000 3.983 0.000
Ir 3.983 0.000 0.000
O 0.000 0.000 2.856
O 0.933 4.915 1.358
O 0.933 4.915 4.354
O 1.354 2.628 0.000
O 2.628 6.611 0.000
O 3.050 0.933 1.358
O 3.050 0.933 4.354
O 3.983 3.983 2.856
O 4.915 7.033 1.358
O 4.915 7.033 4.354
O 5.337 1.354 0.000
O 6.611 5.337 0.000
O 7.033 3.050 1.358
O 7.033 3.050 4.354
```

***

Record 2
Simulated powder XRD pattern of ZrBi2O5 for Cu Kα (weighted mean of Kα1 and Kα2), from a structure optimized by DFT (PBE).

Peak list (8 most intense, 10° ≤ 2θ ≤ 90°, in order of rising 2θ)
two_theta	intensity
25.89	31
28.17	58
30.24	100
30.89	56
31.54	40
40.22	55
42.79	38
54.95	37

Cell and atoms:
```
32
Lattice="10.024 0.000 0.000 0.000 6.883 0.000 0.000 0.000 6.336" Properties=species:S:1:pos:R:3 pbc="T T T"
Zr 0.023 1.721 0.402
Zr 4.989 5.162 3.570
Zr 5.035 1.721 2.766
Zr 10.001 5.162 5.934
Bi 1.746 3.450 3.066
Bi 1.746 6.874 3.066
Bi 3.266 0.008 6.234
Bi 3.266 3.433 6.234
Bi 6.758 3.450 0.102
Bi 6.758 6.874 0.102
Bi 8.278 0.008 3.270
Bi 8.278 3.433 3.270
O 0.062 1.721 2.639
O 0.863 3.646 0.964
O 0.863 6.678 0.964
O 1.865 1.721 5.459
O 2.068 5.162 5.273
O 2.944 1.721 2.105
O 3.147 5.162 2.291
O 4.149 0.204 4.132
O 4.149 3.237 4.132
O 4.950 5.162 5.807
O 5.074 1.721 0.528
O 5.875 3.646 2.204
O 5.875 6.678 2.204
O 6.877 1.721 4.045
O 7.080 5.162 4.230
O 7.956 1.721 1.063
O 8.159 5.162 0.877
O 9.161 0.204 5.372
O 9.161 3.237 5.372
O 9.962 5.162 3.696
```

***

Record 3
Simulated powder XRD pattern of Pm4Ge2AsSe for Cu Kα (weighted mean of Kα1 and Kα2), from a structure optimized by DFT (PBE).

Peak list (8 most intense, 10° ≤ 2θ ≤ 90°, in order of rising 2θ)
two_theta	intensity
25.91	14
29.77	100
42.08	39
43.12	36
53.28	19
61.83	12
69.36	17
78.35	12

Cell and atoms:
```
8
Lattice="7.273 0.000 0.000 0.000 4.192 0.000 -2.429 0.000 7.099" Properties=species:S:1:pos:R:3 pbc="T T T"
Pm 1.189 0.000 1.755
Pm -0.028 2.096 5.310
Pm 3.655 0.000 5.343
Pm 4.872 2.096 1.789
Ge -1.214 0.000 3.549
Ge 2.422 2.096 3.549
As 0.000 2.096 0.000
Se 3.636 0.000 0.000
```

***

Record 4
Simulated powder XRD pattern of MnGa3Ni7 for Cu Kα (weighted mean of Kα1 and Kα2), from a structure optimized by DFT (PBE).

Peak list (8 most intense, 10° ≤ 2θ ≤ 90°, in order of rising 2θ)
two_theta	intensity
32.64	23
39.06	68
42.60	81
44.54	100
44.73	23
47.70	25
50.80	45
59.16	33

Cell and atoms:
```
11
Lattice="3.968 -4.244 0.000 3.968 4.244 0.000 -1.961 0.000 4.268" Properties=species:S:1:pos:R:3 pbc="T T T"
Mn 0.000 0.000 0.000
Ga 2.988 1.899 2.134
Ga 3.968 0.000 0.000
Ga 2.988 -1.899 2.134
Ni -0.981 0.000 2.134
Ni 0.983 2.041 3.498
Ni 1.494 0.000 1.919
Ni 4.992 2.041 0.770
Ni 0.983 -2.041 3.498
Ni 4.481 0.000 2.349
Ni 4.992 -2.041 0.770
```

***

Record 5
Simulated powder XRD pattern of Ca5Ga2Ag2 for Cu Kα (weighted mean of Kα1 and Kα2), from a structure optimized by DFT (PBE).

Peak list (8 most intense, 10° ≤ 2θ ≤ 90°, in order of rising 2θ)
two_theta	intensity
23.03	100
30.02	68
31.43	81
31.68	49
31.86	51
32.45	52
33.78	55
43.19	51

Cell and atoms:
```
18
Lattice="7.885 -4.003 0.000 7.885 4.003 0.000 0.000 0.000 8.095" Properties=species:S:1:pos:R:3 pbc="T T T"
Ca 0.000 0.000 0.000
Ca 5.753 2.592 5.444
Ca 5.753 1.411 1.396
Ca 10.016 2.592 5.444
Ca 10.016 1.411 1.396
Ca 7.885 0.000 4.048
Ca 5.753 -1.411 6.699
Ca 5.753 -2.592 2.651
Ca 10.016 -1.411 6.699
Ca 10.016 -2.592 2.651
Ga 7.885 3.093 3.123
Ga 7.885 0.911 7.171
Ga 7.885 -0.911 0.924
Ga 7.885 -3.093 4.972
Ag 3.259 0.000 0.000
Ag 4.626 0.000 4.048
Ag 11.143 0.000 4.048
Ag 12.510 0.000 0.000
```

***

Record 6
Simulated powder XRD pattern of RbGaGe for Cu Kα (weighted mean of Kα1 and Kα2), from a structure optimized by DFT (PBE).

Peak list (8 most intense, 10° ≤ 2θ ≤ 90°, in order of rising 2θ)
two_theta	intensity
15.22	11
28.39	100
30.73	29
41.89	37
51.38	19
52.84	37
53.20	17
68.36	16

Cell and atoms:
```
3
Lattice="4.314 0.000 0.000 -2.157 3.736 0.000 0.000 0.000 5.820" Properties=species:S:1:pos:R:3 pbc="T T T"
Rb 0.000 0.000 0.000
Ga 2.157 1.245 2.910
Ge 0.000 2.490 2.910
```

***

Record 7
Simulated powder XRD pattern of Tb3Pr4Dy4 for Cu Kα (weighted mean of Kα1 and Kα2), from a structure optimized by DFT (PBE).

Peak list (8 most intense, 10° ≤ 2θ ≤ 90°, in order of rising 2θ)
two_theta	intensity
30.33	32
30.69	17
31.23	38
31.83	100
33.33	15
55.95	20
61.72	14
62.08	13

Cell and atoms:
```
11
Lattice="10.752 0.000 0.000 0.000 2.864 6.053 0.000 -2.864 6.053" Properties=species:S:1:pos:R:3 pbc="T T T"
Tb 0.000 0.000 0.000
Tb 3.096 0.000 1.899
Tb 7.656 0.000 1.899
Pr 0.000 0.000 8.552
Pr 2.234 0.000 6.067
Pr 5.376 0.000 7.596
Pr 8.518 0.000 6.067
Dy 0.000 0.000 3.610
Dy 3.264 0.000 10.290
Dy 5.376 0.000 4.292
Dy 7.488 0.000 10.290
```

***

Record 8
Simulated powder XRD pattern of TlCu8 for Cu Kα (weighted mean of Kα1 and Kα2), from a structure optimized by DFT (PBE).

Peak list (8 most intense, 10° ≤ 2θ ≤ 90°, in order of rising 2θ)
two_theta	intensity
25.97	12
34.56	12
41.58	100
47.79	20
48.68	30
70.61	19
84.75	11
86.06	21

Cell and atoms:
```
9
Lattice="-3.968 3.968 1.903 3.968 -3.968 1.903 3.968 3.968 -1.903" Properties=species:S:1:pos:R:3 pbc="T T T"
Tl 0.000 0.000 0.000
Cu 2.722 0.000 0.000
Cu 5.214 0.000 0.000
Cu 2.562 2.562 0.000
Cu 1.406 -1.406 1.903
Cu 0.000 2.722 0.000
Cu 0.000 5.214 0.000
Cu -1.406 1.406 1.903
Cu 1.406 1.406 1.903
```